No. 1
Ba2SnHg: simulated X-ray powder pattern (λ = 1.5418 Å (Cu Kα)), based on DFT lattice parameters and positions (PBE).

Structure:
```
Ba2SnHg
1.0
8.518 0.000 0.000
0.000 8.518 0.000
0.000 0.000 8.518
Ba Sn Hg
8 4 4
direct
0.250 0.250 0.250
0.250 0.250 0.750
0.250 0.750 0.250
0.250 0.750 0.750
0.750 0.250 0.250
0.750 0.250 0.750
0.750 0.750 0.250
0.750 0.750 0.750
0.000 0.000 0.000
0.000 0.500 0.500
0.500 0.000 0.500
0.500 0.500 0.000
0.000 0.000 0.500
0.000 0.500 0.000
0.500 0.000 0.000
0.500 0.500 0.500
```

The 8 most intense peaks (5 to 70 degrees two-theta), in order of falling intensity:
2θ = 29.7°, I = 100
2θ = 52.6°, I = 41
2θ = 42.5°, I = 19
2θ = 69.8°, I = 18
2θ = 61.6°, I = 13
2θ = 18.0°, I = 4
2θ = 34.9°, I = 2
2θ = 46.5°, I = 1


No. 2
BaSnHg: simulated X-ray powder pattern (λ = 1.5418 Å (Cu Kα)), based on DFT lattice parameters and positions (PBE).

Structure:
```
BaSnHg
1.0
5.012 0.000 0.000
-2.506 4.341 0.000
0.000 0.000 9.715
Ba Sn Hg
2 2 2
direct
0.000 0.000 0.000
0.000 0.000 0.500
0.333 0.667 0.250
0.667 0.333 0.750
0.333 0.667 0.750
0.667 0.333 0.250
```

The 8 most intense peaks (5 to 70 degrees two-theta), in order of falling intensity:
2θ = 27.6°, I = 100
2θ = 35.8°, I = 61
2θ = 52.5°, I = 41
2θ = 45.8°, I = 25
2θ = 59.5°, I = 24
2θ = 37.0°, I = 19
2θ = 18.3°, I = 18
2θ = 40.5°, I = 16


No. 3
BaSrHg2: simulated X-ray powder pattern (λ = 1.5418 Å (Cu Kα)), based on DFT lattice parameters and positions (PBE).

Structure:
```
BaSrHg2
1.0
8.255 0.000 0.000
0.000 8.255 0.000
0.000 0.000 8.255
Ba Sr Hg
4 4 8
direct
0.000 0.000 0.000
0.000 0.500 0.500
0.500 0.000 0.500
0.500 0.500 0.000
0.000 0.000 0.500
0.000 0.500 0.000
0.500 0.000 0.000
0.500 0.500 0.500
0.250 0.250 0.250
0.250 0.250 0.750
0.250 0.750 0.250
0.250 0.750 0.750
0.750 0.250 0.250
0.750 0.250 0.750
0.750 0.750 0.250
0.750 0.750 0.750
```

The 8 most intense peaks (5 to 70 degrees two-theta), in order of falling intensity:
2θ = 30.6°, I = 100
2θ = 54.5°, I = 40
2θ = 43.9°, I = 19
2θ = 63.8°, I = 13
2θ = 21.5°, I = 9
2θ = 49.4°, I = 5
2θ = 37.7°, I = 3
2θ = 68.2°, I = 2


No. 4
BaTl2Hg2: simulated X-ray powder pattern (λ = 1.5418 Å (Cu Kα)), based on DFT lattice parameters and positions (PBE).

Structure:
```
BaTl2Hg2
1.0
11.093 0.000 0.000
0.000 11.093 0.000
0.000 0.000 5.210
Ba Tl Hg
4 8 8
direct
0.148 0.148 0.000
0.352 0.648 0.500
0.648 0.352 0.500
0.852 0.852 0.000
0.029 0.359 0.500
0.141 0.529 0.000
0.359 0.029 0.500
0.471 0.859 0.000
0.529 0.141 0.000
0.641 0.971 0.500
0.859 0.471 0.000
0.971 0.641 0.500
0.095 0.905 0.500
0.188 0.812 0.000
0.312 0.312 0.500
0.405 0.405 0.000
0.595 0.595 0.000
0.688 0.688 0.500
0.812 0.188 0.000
0.905 0.095 0.500
```

The 8 most intense peaks (5 to 70 degrees two-theta), in order of falling intensity:
2θ = 29.6°, I = 100
2θ = 34.4°, I = 40
2θ = 28.5°, I = 34
2θ = 34.3°, I = 33
2θ = 37.6°, I = 31
2θ = 49.4°, I = 26
2θ = 40.3°, I = 22
2θ = 61.8°, I = 16


No. 5
Ba2HoMgNbO6: simulated X-ray powder pattern (λ = 1.5418 Å (Cu Kα)), based on DFT lattice parameters and positions (PBE).

Structure:
```
Ba2HoMgNbO6
1.0
2.977 1.719 5.875
-2.977 1.719 5.875
0.000 -3.437 5.875
Ba Ho Mg Nb O
2 1 1 1 6
direct
0.000 0.000 0.000
0.425 0.425 0.425
0.204 0.204 0.204
0.831 0.831 0.831
0.678 0.678 0.678
0.451 0.927 0.927
0.456 0.456 0.948
0.456 0.948 0.456
0.927 0.451 0.927
0.927 0.927 0.451
0.948 0.456 0.456
```

The 8 most intense peaks (5 to 70 degrees two-theta), in order of falling intensity:
2θ = 30.0°, I = 100
2θ = 26.6°, I = 57
2θ = 30.7°, I = 51
2θ = 40.5°, I = 35
2θ = 43.5°, I = 22
2θ = 53.7°, I = 20
2θ = 53.3°, I = 20
2θ = 51.3°, I = 19